Diffraction record for NdPa3S4. The XRD peak list is calculated, not measured: it uses a cell relaxed with GGA-PBE and Cu Ka.

Cell and atoms:
Unit cell a=6.8955 b=6.8955 c=3.7956 alpha=90.00 beta=90.00 gamma=107.70
Element x y z (fractional)
Nd (0.0000, 0.0000, 0.0000)
Pa (0.0000, 0.5000, 0.5000)
Pa (0.5000, 0.0000, 0.5000)
Pa (0.5000, 0.5000, 0.0000)
S (0.2523, 0.7477, 0.0000)
S (0.2550, 0.2550, 0.5000)
S (0.7450, 0.7450, 0.5000)
S (0.7477, 0.2523, 0.0000)

Principal peaks in the range 10° ≤ 2θ ≤ 90°, in order of rising 2θ:
d = 3.285 Å, 2θ = 27.1°, I 81; d = 3.136 Å, 2θ = 28.5°, I 70; d = 2.784 Å, 2θ = 32.2°, I 50; d = 2.775 Å, 2θ = 32.3°, I 100; d = 2.034 Å, 2θ = 44.5°, I 20; d = 1.965 Å, 2θ = 46.2°, I 74; d = 1.706 Å, 2θ = 53.7°, I 26; d = 1.643 Å, 2θ = 56.0°, I 44



Diffraction record for Ce2Ga9CoGe2. The XRD peak list is calculated, not measured: it uses a cell relaxed with GGA-PBE and Cu Ka.

Cell and atoms:
Unit cell a=5.9970 b=5.9970 c=14.7795 alpha=90.00 beta=90.00 gamma=90.00
Element x y z (fractional)
Ce (0.2500, 0.7500, 0.2448)
Ce (0.2500, 0.7500, 0.7552)
Ce (0.7500, 0.2500, 0.2448)
Ce (0.7500, 0.2500, 0.7552)
Ga (0.0159, 0.0159, 0.0869)
Ga (0.0159, 0.4841, 0.0869)
Ga (0.0308, 0.0308, 0.4145)
Ga (0.0308, 0.4692, 0.4145)
Ga (0.2500, 0.2500, 0.6521)
Ga (0.4692, 0.0308, 0.4145)
Ga (0.4692, 0.4692, 0.4145)
Ga (0.4841, 0.0159, 0.0869)
Ga (0.4841, 0.4841, 0.0869)
Ga (0.5159, 0.5159, 0.9131)
Ga (0.5159, 0.9841, 0.9131)
Ga (0.5308, 0.5308, 0.5855)
Ga (0.5308, 0.9692, 0.5855)
Ga (0.7500, 0.7500, 0.3479)
Ga (0.9692, 0.5308, 0.5855)
Ga (0.9692, 0.9692, 0.5855)
Ga (0.9841, 0.5159, 0.9131)
Ga (0.9841, 0.9841, 0.9131)
Co (0.2500, 0.7500, 0.0000)
Co (0.7500, 0.2500, 0.0000)
Ge (0.2500, 0.2500, 0.2431)
Ge (0.2500, 0.2500, 0.8171)
Ge (0.7500, 0.7500, 0.1829)
Ge (0.7500, 0.7500, 0.7569)

Principal peaks in the range 10° ≤ 2θ ≤ 90°, in order of rising 2θ:
d = 2.780 Å, 2θ = 32.2°, I 100; d = 2.463 Å, 2θ = 36.5°, I 19; d = 2.328 Å, 2θ = 38.7°, I 52; d = 2.120 Å, 2θ = 42.6°, I 55; d = 1.607 Å, 2θ = 57.3°, I 18; d = 1.499 Å, 2θ = 61.9°, I 16; d = 1.320 Å, 2θ = 71.5°, I 16; d = 1.261 Å, 2θ = 75.4°, I 12



Diffraction record for Pm4Nd5Ga. The XRD peak list is calculated, not measured: it uses a cell relaxed with GGA-PBE and Cu Ka.

Cell and atoms:
Unit cell a=3.6790 b=3.6790 c=24.4670 alpha=90.00 beta=90.00 gamma=90.00
Element x y z (fractional)
Pm (0.0000, 0.0000, 0.1056)
Pm (0.0000, 0.0000, 0.3167)
Pm (0.0000, 0.0000, 0.6833)
Pm (0.0000, 0.0000, 0.8944)
Nd (0.5000, 0.5000, 0.0000)
Nd (0.5000, 0.5000, 0.2122)
Nd (0.5000, 0.5000, 0.4249)
Nd (0.5000, 0.5000, 0.5751)
Nd (0.5000, 0.5000, 0.7878)
Ga (0.0000, 0.0000, 0.5000)

Principal peaks in the range 10° ≤ 2θ ≤ 90°, in order of rising 2θ:
d = 3.153 Å, 2θ = 28.3°, I 15; d = 2.941 Å, 2θ = 30.4°, I 100; d = 2.601 Å, 2θ = 34.5°, I 45; d = 1.880 Å, 2θ = 48.4°, I 15; d = 1.839 Å, 2θ = 49.6°, I 16; d = 1.579 Å, 2θ = 58.5°, I 15; d = 1.559 Å, 2θ = 59.3°, I 30; d = 1.198 Å, 2θ = 80.1°, I 12